[1]
# Pm6Si2AsS3
Calculated X-ray powder pattern, Cu Ka. Input: a crystal structure in Alexandria, relaxed with PBE.

Top 10 peaks for 5° ≤ 2θ ≤ 70°, most intense first:
| 2theta | intensity |
| --- | --- |
| 30.43 | 100 |
| 43.53 | 49 |
| 26.25 | 48 |
| 43.65 | 24 |
| 51.56 | 18 |
| 26.34 | 16 |
| 51.66 | 13 |
| 54.06 | 13 |
| 63.32 | 12 |
| 53.96 | 6 |

Cell and atoms:
Cell lengths 9.2778, 9.2778, 8.3073 Å; angles 102.67, 102.67, 25.89 degrees
Element x y z (fractional)
1 Pm 0.0017 0.0017 0.2518
2 Pm 0.3333 0.3333 0.4168
3 Pm 0.3325 0.3325 0.9134
4 Pm 0.6675 0.6675 0.0866
5 Pm 0.6667 0.6667 0.5832
6 Pm 0.9983 0.9983 0.7482
7 Si 0.1666 0.1666 0.3336
8 Si 0.8334 0.8334 0.6664
9 As 0.5000 0.5000 0.0000
10 S 0.1656 0.1656 0.8343
11 S 0.5000 0.5000 0.5000
12 S 0.8344 0.8344 0.1657



[2]
# Pm7SbAs5
Calculated X-ray powder pattern, Cu Ka. Input: a crystal structure in Alexandria, relaxed with PBE.

Top 10 peaks for 5° ≤ 2θ ≤ 70°, most intense first:
| 2theta | intensity |
| --- | --- |
| 29.30 | 100 |
| 28.09 | 88 |
| 30.40 | 85 |
| 42.44 | 70 |
| 42.73 | 38 |
| 51.66 | 33 |
| 39.28 | 23 |
| 69.64 | 23 |
| 42.86 | 23 |
| 31.39 | 22 |

Cell and atoms:
Cell lengths 7.3021, 7.3021, 24.9706 Å; angles 90.00, 90.00, 146.07 degrees
Element x y z (fractional)
1 Pm 0.0369 0.9631 0.7500
2 Pm 0.1365 0.8635 0.0348
3 Pm 0.1365 0.8635 0.4652
4 Pm 0.3231 0.6769 0.6741
5 Pm 0.3231 0.6769 0.8259
6 Pm 0.4093 0.5907 0.1050
7 Pm 0.4093 0.5907 0.3950
8 Pm 0.5907 0.4093 0.6050
9 Pm 0.5907 0.4093 0.8950
10 Pm 0.6769 0.3231 0.1741
11 Pm 0.6769 0.3231 0.3259
12 Pm 0.8635 0.1365 0.5348
13 Pm 0.8635 0.1365 0.9652
14 Pm 0.9631 0.0369 0.2500
15 Sb 0.2979 0.7021 0.2500
16 Sb 0.7021 0.2979 0.7500
17 As 0.0440 0.9560 0.1436
18 As 0.0440 0.9560 0.3564
19 As 0.2278 0.7722 0.5730
20 As 0.2278 0.7722 0.9270
21 As 0.5000 0.5000 0.0000
22 As 0.5000 0.5000 0.5000
23 As 0.7722 0.2278 0.0730
24 As 0.7722 0.2278 0.4270
25 As 0.9560 0.0440 0.6436
26 As 0.9560 0.0440 0.8564